Record 1
Structure and simulated powder XRD pattern of Sr (a crystal structure in the Materials Project, relaxed with PBE; Cu Ka).
Lines closer than 0.1° are merged.

Lattice parameters (Å, degrees): 3.8514 3.8514 3.8514 90.00 90.00 90.00
Fractional positions:
Sr 0.0000 0.0000 0.0000

Peak list (11 most intense, 10 to 90 degrees two-theta, by intensity)
two_theta	I/Imax
23.1	100
32.9	81
53.2	41
40.6	30
58.7	30
73.8	19
47.2	14
78.5	13
83.2	11
69.0	9
87.8	3

Record 2
Structure and simulated powder XRD pattern of FeNi3 (a crystal structure in the Materials Project, relaxed with PBE; Cu Ka).
Lines closer than 0.1° are merged.

Lattice parameters (Å, degrees): 3.5374 3.5374 3.5374 90.00 90.00 90.00
Fractional positions:
Fe 0.0000 0.0000 0.0000
Ni 0.0000 0.5000 0.5000
Ni 0.5000 0.0000 0.5000
Ni 0.5000 0.5000 0.0000

Peak list (3 most intense, 10 to 90 degrees two-theta, by intensity)
two_theta	I/Imax
44.4	100
51.7	46
76.1	27

Record 3
Structure and simulated powder XRD pattern of KNaMg6O7 (a crystal structure in the Materials Project, relaxed with PBE; Cu Ka).
Lines closer than 0.1° are merged.

Lattice parameters (Å, degrees): 4.2467 4.2467 10.9881 90.00 90.00 90.00
Fractional positions:
K 0.0000 0.0000 0.0000
Na 0.0000 0.0000 0.5206
Mg 0.0000 0.5000 0.3168
Mg 0.0000 0.5000 0.7091
Mg 0.5000 0.0000 0.3168
Mg 0.5000 0.0000 0.7091
Mg 0.5000 0.5000 0.1183
Mg 0.5000 0.5000 0.5302
O 0.0000 0.0000 0.3196
O 0.0000 0.0000 0.7424
O 0.0000 0.5000 0.1337
O 0.0000 0.5000 0.5108
O 0.5000 0.0000 0.1337
O 0.5000 0.0000 0.5108
O 0.5000 0.5000 0.7163

Peak list (12 most intense, 10 to 90 degrees two-theta, by intensity)
two_theta	I/Imax
42.6	100
34.0	34
60.6	33
41.1	31
61.8	28
16.1	25
26.5	21
32.3	18
76.9	14
30.9	13
39.1	12
32.6	12

Record 4
Structure and simulated powder XRD pattern of VP (a crystal structure in the Materials Project, relaxed with PBE; Cu Ka).
Lines closer than 0.1° are merged.

Lattice parameters (Å, degrees): 3.3328 3.3328 5.8322 90.00 90.00 120.00
Fractional positions:
V 0.3333 0.6667 0.2500
V 0.6667 0.3333 0.7500
P 0.0000 0.0000 0.0000
P 0.0000 0.0000 0.5000

Peak list (12 most intense, 10 to 90 degrees two-theta, by intensity)
two_theta	I/Imax
34.7	100
44.1	78
55.1	40
57.1	21
89.3	20
73.2	16
66.8	12
63.8	8
83.4	6
30.7	5
64.4	3
31.0	1

Q: What is the formula in the first record?
A: Sr